Theoretical powder XRD pattern
Compound: Li2Ni3BiO6
Radiation: CuKα
Structure: a DFT-relaxed cell (PBE+U, Alexandria)
Kinematic intensities with the Lorentz-polarization factor, no thermal factor.

```
data_Li2Ni3BiO6
_cell_length_a 5.3061
_cell_length_b 9.1996
_cell_length_c 5.3504
_cell_angle_alpha 90.00
_cell_angle_beta 109.02
_cell_angle_gamma 90.00
_space_group_name_H-M_alt 'C 1 2/m 1'
_space_group_IT_number 12
loop_
_space_group_symop_operation_xyz
'x,y,z'
'-x,-y,-z'
'-x,y,-z'
'x,-y,z'
'x+1/2,y+1/2,z'
'-x+1/2,-y+1/2,-z'
'-x+1/2,y+1/2,-z'
'x+1/2,-y+1/2,z'
loop_
_atom_site_label
_atom_site_fract_x
_atom_site_fract_y
_atom_site_fract_z
_atom_site_occupancy
Li1 0.0000 0.1661 0.0000 1
Ni1 0.0000 0.0000 0.5000 1
Ni2 0.0000 0.3297 0.5000 1
Bi1 0.0000 0.5000 0.0000 1
O1 0.2413 0.1685 0.7304 1
O2 0.2471 0.5000 0.7299 1
```

Principal peaks in the range 2θ from 10° to 90°, by angle:
| (hkl) | two_theta | I_rel |
| --- | --- | --- |
| 1 1 0 | 20.16 | 94 |
| 1 1 -1 | 22.66 | 76 |
| 0 2 1 | 26.19 | 56 |
| 0 0 2 | 35.50 | 54 |
| 2 0 0 | 35.84 | 87 |
| 1 3 1 | 41.46 | 100 |